Entry 1:
Starting from DFT lattice parameters and positions (PBE), the powder X-ray diffraction pattern of HSe2F was calculated for Cu Ka.
Intensities are scaled so that the largest is 100.

Atomic structure:
a b c (Å): 5.170 5.830 7.271
angles (deg): 107.63 98.09 92.22
Space group P1 (No. 1)
Inequivalent atoms, fractional coordinates:
H1 0.000 0.000 0.000 x1
H2 0.152 0.657 0.836 x1
Se1 0.121 0.368 0.568 x1
Se2 0.246 0.564 0.341 x1
Se3 0.469 0.203 0.717 x1
Se4 0.593 0.861 0.482 x1
F1 0.174 0.778 0.967 x1
F2 0.898 0.138 0.025 x1

The 8 most intense peaks (10 to 90 degrees two-theta), by angle:
Position (°2θ), intensity, index
12.94, 100, 0 0 1
17.39, 28, 1 0 0
22.67, 28, 1 -1 0
23.62, 28, 0 1 1
24.04, 33, 1 1 -1
25.04, 29, 1 -1 1
26.01, 30, 0 1 -2
27.29, 26, -1 1 1

Entry 2:
Starting from DFT lattice parameters and positions (PBE), the powder X-ray diffraction pattern of HSe3F2 was calculated for Cu Ka.
Intensities are scaled so that the largest is 100.

Atomic structure:
a b c (Å): 5.025 7.128 7.296
angles (deg): 86.46 70.99 73.86
Space group P-1 (No. 2)
Inequivalent atoms, fractional coordinates:
H1 0.154 0.266 0.027 x2
Se1 0.006 0.315 0.425 x2
Se2 0.362 0.136 0.609 x2
Se3 0.378 0.256 0.125 x2
F1 0.013 0.797 0.176 x2
F2 0.282 0.551 0.703 x2

The 8 most intense peaks (10 to 90 degrees two-theta), by angle:
Position (°2θ), intensity, index
12.84, 62, 0 0 1
20.20, 100, 1 1 0
26.06, 62, 0 2 0
28.46, 59, 1 2 1
31.93, 61, 1 -1 2
37.56, 52, 1 1 -2
39.70, 33, 2 0 2
53.13, 35, 2 3 -1

Entry 3:
Starting from DFT lattice parameters and positions (PBE), the powder X-ray diffraction pattern of TlSiHSeF was calculated for Cu Ka.
Intensities are scaled so that the largest is 100.

Atomic structure:
a b c (Å): 8.908 4.527 6.022
angles (deg): 90.00 108.01 90.00
Space group Cm (No. 8)
Inequivalent atoms, fractional coordinates:
Tl1 0.000 0.000 0.000 x2
Si1 0.309 0.000 0.479 x2
H1 0.483 0.000 0.613 x2
Se1 0.254 0.500 0.316 x2
F1 0.235 0.000 0.703 x2

The 8 most intense peaks (10 to 90 degrees two-theta), by angle:
Position (°2θ), intensity, index
15.47, 47, 0 0 1
21.90, 77, 2 0 -1
22.27, 79, 1 1 0
29.07, 100, 1 1 1
29.87, 38, 2 0 1
31.85, 32, 2 0 -2
35.83, 43, 1 1 -2
36.67, 44, 3 1 -1

Entry 4:
Starting from DFT lattice parameters and positions (PBE), the powder X-ray diffraction pattern of SiHF4 was calculated for Cu Ka.
Intensities are scaled so that the largest is 100.

Atomic structure:
a b c (Å): 6.105 4.776 6.198
angles (deg): 90.00 90.00 90.00
Space group Pmn2_1 (No. 31)
Inequivalent atoms, fractional coordinates:
Si1 0.000 0.166 0.000 x2
H1 0.000 0.318 0.410 x2
F1 0.000 0.057 0.758 x2
F2 0.000 0.900 0.153 x2
F3 0.213 0.348 0.038 x4

The 8 most intense peaks (10 to 90 degrees two-theta), by angle:
Position (°2θ), intensity, index
18.58, 17, 0 1 0
20.42, 100, 1 0 1
23.52, 71, 0 1 1
23.65, 25, 1 1 0
27.74, 17, 1 1 1
28.81, 22, 0 0 2
34.88, 46, 2 1 0
50.72, 16, 2 2 1

Number 2 is which compound?
HSe3F2

What did the second record say?
Starting from DFT lattice parameters and positions (PBE), the powder X-ray diffraction pattern of HSe3F2 was calculated for Cu Ka.
Intensities are scaled so that the largest is 100.

Atomic structure:
a b c (Å): 5.025 7.128 7.296
angles (deg): 86.46 70.99 73.86
Space group P-1 (No. 2)
Inequivalent atoms, fractional coordinates:
H1 0.154 0.266 0.027 x2
Se1 0.006 0.315 0.425 x2
Se2 0.362 0.136 0.609 x2
Se3 0.378 0.256 0.125 x2
F1 0.013 0.797 0.176 x2
F2 0.282 0.551 0.703 x2

The 8 most intense peaks (10 to 90 degrees two-theta), by angle:
Position (°2θ), intensity, index
12.84, 62, 0 0 1
20.20, 100, 1 1 0
26.06, 62, 0 2 0
28.46, 59, 1 2 1
31.93, 61, 1 -1 2
37.56, 52, 1 1 -2
39.70, 33, 2 0 2
53.13, 35, 2 3 -1